For RbZn2In5, a structure optimized by DFT (PBE) gives the computed powder diffraction line list in this record (Cu Kα).
Lines closer than 0.1° are merged.

Principal peaks in the range 2θ = 5–70°, in order of rising 2θ:
- 13.45°, intensity 17
- 30.17°, intensity 100
- 38.04°, intensity 24
- 38.52°, intensity 38
- 38.71°, intensity 29
- 41.13°, intensity 9
- 55.40°, intensity 20
- 57.26°, intensity 7
- 63.92°, intensity 11
- 64.86°, intensity 9
- 69.05°, intensity 6
- 69.89°, intensity 9

Unit cell a=7.368 b=7.368 c=7.368 alpha=142.55 beta=113.58 gamma=78.82
Atoms (fractional coordinates):
1 Rb 0.000 0.000 0.000
2 Zn 0.254 0.754 0.500
3 Zn 0.746 0.246 0.500
4 In 0.163 0.355 0.807
5 In 0.452 0.645 0.807
6 In 0.500 0.000 0.500
7 In 0.548 0.355 0.193
8 In 0.837 0.645 0.193